Calculated XRD peak list
Compound: AcY4Tm7
Radiation: Cu Ka
Structure: a cell relaxed with PBE

Cell and atoms:
Cell lengths 12.2007, 6.0138, 12.5451 Å; angles 90.00, 118.83, 90.00 degrees
Space group C2/m (No. 12)
Asymmetric unit:
Ac  0.0000  0.0000  0.0000
Y  0.1205  0.5000  0.7755
Y  0.2246  0.5000  0.3077
Tm  0.0000  0.5000  0.0000
Tm  0.0416  0.0000  0.3668
Tm  0.1423  0.5000  0.5188
Tm  0.2154  0.0000  0.9174

Principal peaks in the range 2θ = 5–70°, by angle:
d 5.495, 16.13°, rel. 378; d 4.076, 21.81°, rel. 192; d 3.064, 29.15°, rel. 264; d 3.007, 29.71°, rel. 967; d 2.937, 30.43°, rel. 973; d 2.713, 33.02°, rel. 1000; d 2.678, 33.46°, rel. 710; d 2.101, 43.05°, rel. 761; d 1.673, 54.86°, rel. 236; d 1.517, 61.07°, rel. 285